[1]
For Na6Fe2C4SO16, DFT lattice parameters and positions (GGA+U) gives the computed X-ray powder pattern in this record (Cu Kα).

```
Na6Fe2C4SO16
1.0
0.000 7.059 7.059
7.059 0.000 7.059
7.059 7.059 0.000
Na Fe C S O
12 4 8 2 32
Direct
0.091 0.091 0.659
0.091 0.659 0.091
0.091 0.659 0.659
0.341 0.341 0.909
0.341 0.909 0.341
0.341 0.909 0.909
0.659 0.091 0.091
0.659 0.091 0.659
0.659 0.659 0.091
0.909 0.341 0.341
0.909 0.341 0.909
0.909 0.909 0.341
0.000 0.500 0.500
0.500 0.000 0.500
0.500 0.500 0.000
0.500 0.500 0.500
0.281 0.281 0.281
0.281 0.281 0.658
0.281 0.658 0.281
0.342 0.719 0.719
0.658 0.281 0.281
0.719 0.342 0.719
0.719 0.719 0.342
0.719 0.719 0.719
0.125 0.125 0.125
0.875 0.875 0.875
0.064 0.064 0.064
0.064 0.064 0.309
0.064 0.309 0.064
0.139 0.304 0.661
0.139 0.396 0.304
0.139 0.661 0.396
0.304 0.139 0.396
0.304 0.396 0.661
0.304 0.661 0.139
0.309 0.064 0.064
0.339 0.604 0.861
0.339 0.696 0.604
0.339 0.861 0.696
0.396 0.139 0.661
0.396 0.304 0.139
0.396 0.661 0.304
0.604 0.339 0.696
0.604 0.696 0.861
0.604 0.861 0.339
0.661 0.139 0.304
0.661 0.304 0.396
0.661 0.396 0.139
0.691 0.936 0.936
0.696 0.339 0.861
0.696 0.604 0.339
0.696 0.861 0.604
0.861 0.339 0.604
0.861 0.604 0.696
0.861 0.696 0.339
0.936 0.691 0.936
0.936 0.936 0.691
0.936 0.936 0.936
```

Top 12 peaks for 5 to 70 degrees two-theta, in order of falling intensity:
2θ/deg	d_spacing	I_rel
32.97	2.717	1000
20.87	4.257	991
35.99	2.496	775
56.45	1.630	336
10.85	8.151	244
45.91	1.977	227
37.70	2.386	216
56.86	1.619	213
42.47	2.128	177
64.69	1.441	155
68.78	1.365	150
51.81	1.765	133



[2]
For Fe2C2O7, DFT lattice parameters and positions (GGA+U) gives the computed X-ray powder pattern in this record (Cu Kα).

```
Fe2C2O7
1.0
8.055 0.000 0.000
0.000 7.740 0.000
-2.888 0.000 11.194
Fe C O
8 8 28
Direct
0.138 0.138 0.118
0.138 0.362 0.618
0.295 0.583 0.872
0.295 0.917 0.372
0.705 0.083 0.628
0.705 0.417 0.128
0.862 0.638 0.382
0.862 0.862 0.882
0.240 0.606 0.456
0.240 0.894 0.956
0.333 0.074 0.601
0.333 0.426 0.101
0.667 0.574 0.899
0.667 0.926 0.399
0.760 0.106 0.044
0.760 0.394 0.544
0.101 0.701 0.444
0.101 0.799 0.944
0.145 0.533 0.729
0.145 0.967 0.229
0.233 0.059 0.495
0.233 0.441 0.995
0.251 0.046 0.001
0.251 0.454 0.501
0.283 0.167 0.680
0.283 0.333 0.180
0.364 0.675 0.420
0.364 0.825 0.920
0.480 0.504 0.130
0.480 0.996 0.630
0.520 0.004 0.370
0.520 0.496 0.870
0.636 0.175 0.080
0.636 0.325 0.580
0.717 0.667 0.820
0.717 0.833 0.320
0.749 0.546 0.499
0.749 0.954 0.999
0.767 0.559 0.005
0.767 0.941 0.505
0.855 0.033 0.771
0.855 0.467 0.271
0.899 0.201 0.056
0.899 0.299 0.556
```

Top 12 peaks for 5 to 70 degrees two-theta, in order of falling intensity:
2θ/deg	d_spacing	I_rel
19.57	4.536	1000
16.68	5.316	888
22.80	3.900	314
33.26	2.694	225
31.05	2.881	132
15.83	5.597	131
27.77	3.212	108
31.26	2.862	102
38.42	2.343	99
31.98	2.799	95
26.97	3.306	91
25.02	3.558	88



[3]
For Fe2C2O7, DFT lattice parameters and positions (GGA+U) gives the computed X-ray powder pattern in this record (Cu Kα).

```
Fe2C2O7
1.0
4.953 0.000 0.000
2.473 4.301 0.000
0.173 -0.004 16.012
Fe C O
4 4 14
Direct
0.164 0.171 0.136
0.166 0.171 0.364
0.834 0.829 0.636
0.836 0.829 0.864
0.167 0.165 0.904
0.168 0.165 0.596
0.832 0.835 0.404
0.833 0.835 0.096
0.087 0.569 0.406
0.088 0.846 0.098
0.156 0.431 0.906
0.156 0.911 0.596
0.164 0.175 0.250
0.433 0.911 0.905
0.434 0.154 0.597
0.566 0.846 0.403
0.567 0.089 0.095
0.836 0.825 0.750
0.844 0.089 0.404
0.844 0.569 0.094
0.912 0.154 0.902
0.913 0.431 0.594
```

Top 12 peaks for 5 to 70 degrees two-theta, in order of falling intensity:
2θ/deg	d_spacing	I_rel
22.21	4.003	1000
20.68	4.295	926
21.39	4.154	520
36.23	2.480	306
21.48	4.136	251
42.77	2.114	160
42.43	2.130	157
37.90	2.374	140
30.68	2.914	115
34.93	2.568	114
57.04	1.615	114
35.12	2.555	113



[4]
For FeC5O5, DFT lattice parameters and positions (GGA+U) gives the computed X-ray powder pattern in this record (Cu Kα).

```
FeC5O5
1.0
5.941 -3.424 0.000
5.941 3.424 0.000
-2.908 0.000 8.955
Fe C O
2 10 10
Direct
0.167 0.833 0.750
0.833 0.167 0.250
0.035 0.707 0.817
0.095 0.905 0.250
0.220 0.615 0.588
0.293 0.965 0.683
0.385 0.780 0.912
0.615 0.220 0.088
0.707 0.035 0.317
0.780 0.385 0.412
0.905 0.095 0.750
0.965 0.293 0.183
0.050 0.371 0.141
0.256 0.473 0.484
0.265 0.735 0.250
0.371 0.050 0.641
0.473 0.256 0.984
0.527 0.744 0.016
0.629 0.950 0.359
0.735 0.265 0.750
0.744 0.527 0.516
0.950 0.629 0.859
```

Top 12 peaks for 5 to 70 degrees two-theta, in order of falling intensity:
2θ/deg	d_spacing	I_rel
16.71	5.306	1000
26.94	3.309	861
31.80	2.814	790
15.68	5.651	758
19.39	4.577	604
27.90	3.198	584
26.06	3.420	491
19.83	4.478	455
29.02	3.077	419
33.71	2.659	374
46.47	1.954	338
21.17	4.197	293



[5]
For FeC5O5, DFT lattice parameters and positions (GGA+U) gives the computed X-ray powder pattern in this record (Cu Kα).

```
FeC5O5
1.0
6.421 -3.667 0.000
6.421 3.667 0.000
-3.385 0.000 9.388
Fe C O
2 10 10
Direct
0.167 0.833 0.500
0.833 0.167 0.000
0.019 0.712 0.572
0.107 0.887 0.989
0.253 0.589 0.347
0.310 0.958 0.430
0.385 0.790 0.670
0.589 0.253 0.847
0.712 0.019 0.072
0.790 0.385 0.170
0.887 0.107 0.489
0.958 0.310 0.930
0.024 0.394 0.891
0.262 0.728 0.985
0.288 0.459 0.245
0.394 0.024 0.391
0.459 0.288 0.745
0.506 0.785 0.776
0.653 0.929 0.110
0.728 0.262 0.485
0.785 0.506 0.276
0.929 0.653 0.610
```

Top 12 peaks for 5 to 70 degrees two-theta, in order of falling intensity:
2θ/deg	d_spacing	I_rel
15.55	5.697	1000
29.24	3.055	968
14.67	6.040	760
25.63	3.475	759
18.35	4.835	604
26.09	3.416	590
18.90	4.694	461
43.54	2.079	423
27.74	3.216	422
24.27	3.667	377
31.65	2.827	332
19.62	4.524	307



[6]
For Fe2C2O7, DFT lattice parameters and positions (GGA+U) gives the computed X-ray powder pattern in this record (Cu Kα).

```
Fe2C2O7
1.0
2.477 -4.301 0.000
2.477 4.301 0.000
-0.173 0.000 16.012
Fe C O
4 4 14
Direct
0.163 0.835 0.864
0.165 0.837 0.636
0.835 0.163 0.364
0.837 0.165 0.136
0.168 0.832 0.096
0.168 0.832 0.404
0.832 0.168 0.596
0.832 0.168 0.904
0.086 0.156 0.594
0.087 0.434 0.902
0.156 0.086 0.094
0.156 0.568 0.405
0.163 0.837 0.750
0.432 0.844 0.095
0.434 0.087 0.402
0.566 0.913 0.598
0.568 0.156 0.905
0.837 0.163 0.250
0.844 0.432 0.595
0.844 0.914 0.906
0.913 0.566 0.098
0.914 0.844 0.406
```

Top 12 peaks for 5 to 70 degrees two-theta, in order of falling intensity:
2θ/deg	d_spacing	I_rel
22.21	4.003	1000
20.68	4.295	933
21.39	4.154	519
36.23	2.480	308
21.48	4.136	248
42.77	2.114	160
42.43	2.130	156
57.00	1.616	145
37.90	2.374	139
30.68	2.914	117
34.93	2.568	115
35.12	2.555	114



[7]
For Fe2C2O7, DFT lattice parameters and positions (GGA+U) gives the computed X-ray powder pattern in this record (Cu Kα).

```
Fe2C2O7
1.0
7.379 -4.280 0.000
7.379 4.280 0.000
-0.099 0.000 8.383
Fe C O
6 6 21
Direct
0.001 0.001 0.215
0.330 0.335 0.322
0.332 0.335 0.756
0.665 0.668 0.244
0.665 0.670 0.678
0.999 0.999 0.785
0.335 0.001 0.768
0.338 0.003 0.226
0.663 0.334 0.234
0.666 0.337 0.766
0.997 0.662 0.774
0.999 0.665 0.232
0.067 0.761 0.287
0.093 0.491 0.232
0.161 0.576 0.829
0.177 0.069 0.283
0.239 0.933 0.713
0.258 0.165 0.824
0.329 0.332 0.538
0.415 0.100 0.224
0.424 0.839 0.171
0.489 0.415 0.236
0.509 0.907 0.768
0.580 0.258 0.818
0.585 0.511 0.764
0.668 0.671 0.462
0.742 0.420 0.182
0.758 0.170 0.284
0.830 0.242 0.716
0.835 0.742 0.176
0.900 0.585 0.776
0.931 0.823 0.717
0.999 0.001 0.000
```

Top 12 peaks for 5 to 70 degrees two-theta, in order of falling intensity:
2θ/deg	d_spacing	I_rel
20.80	4.270	1000
21.20	4.192	818
42.39	2.132	162
36.40	2.468	153
29.84	2.995	104
57.00	1.616	103
29.73	3.005	101
30.05	2.974	100
33.74	2.656	77
36.54	2.459	77
24.33	3.659	61
16.03	5.528	61



[8]
For Fe2C2O7, DFT lattice parameters and positions (GGA+U) gives the computed X-ray powder pattern in this record (Cu Kα).

```
Fe2C2O7
1.0
9.137 0.000 0.000
0.000 6.726 0.000
-2.409 0.000 9.369
Fe C O
8 8 28
Direct
0.028 0.112 0.248
0.028 0.388 0.748
0.256 0.061 0.652
0.256 0.439 0.152
0.744 0.561 0.848
0.744 0.939 0.348
0.972 0.612 0.252
0.972 0.888 0.752
0.206 0.691 0.648
0.206 0.809 0.148
0.324 0.235 0.440
0.324 0.265 0.940
0.676 0.735 0.060
0.676 0.765 0.560
0.794 0.191 0.852
0.794 0.309 0.352
0.052 0.125 0.674
0.052 0.375 0.174
0.152 0.513 0.629
0.152 0.987 0.129
0.182 0.169 0.428
0.182 0.331 0.928
0.188 0.699 0.257
0.188 0.801 0.757
0.275 0.721 0.066
0.275 0.779 0.566
0.365 0.177 0.840
0.365 0.323 0.340
0.412 0.196 0.563
0.412 0.304 0.063
0.588 0.696 0.937
0.588 0.804 0.437
0.635 0.677 0.660
0.635 0.823 0.160
0.725 0.221 0.434
0.725 0.279 0.934
0.812 0.199 0.243
0.812 0.301 0.743
0.818 0.669 0.072
0.818 0.831 0.572
0.848 0.013 0.871
0.848 0.487 0.371
0.948 0.625 0.826
0.948 0.875 0.326
```

Top 12 peaks for 5 to 70 degrees two-theta, in order of falling intensity:
2θ/deg	d_spacing	I_rel
10.00	8.849	1000
23.60	3.770	766
29.15	3.063	363
18.94	4.684	302
23.97	3.712	238
16.22	5.464	193
33.40	2.683	188
16.56	5.355	170
38.80	2.321	156
31.57	2.834	151
20.30	4.374	142
17.80	4.984	126



Please write out number 8 again, unchanged.
For Fe2C2O7, DFT lattice parameters and positions (GGA+U) gives the computed X-ray powder pattern in this record (Cu Kα).

```
Fe2C2O7
1.0
9.137 0.000 0.000
0.000 6.726 0.000
-2.409 0.000 9.369
Fe C O
8 8 28
Direct
0.028 0.112 0.248
0.028 0.388 0.748
0.256 0.061 0.652
0.256 0.439 0.152
0.744 0.561 0.848
0.744 0.939 0.348
0.972 0.612 0.252
0.972 0.888 0.752
0.206 0.691 0.648
0.206 0.809 0.148
0.324 0.235 0.440
0.324 0.265 0.940
0.676 0.735 0.060
0.676 0.765 0.560
0.794 0.191 0.852
0.794 0.309 0.352
0.052 0.125 0.674
0.052 0.375 0.174
0.152 0.513 0.629
0.152 0.987 0.129
0.182 0.169 0.428
0.182 0.331 0.928
0.188 0.699 0.257
0.188 0.801 0.757
0.275 0.721 0.066
0.275 0.779 0.566
0.365 0.177 0.840
0.365 0.323 0.340
0.412 0.196 0.563
0.412 0.304 0.063
0.588 0.696 0.937
0.588 0.804 0.437
0.635 0.677 0.660
0.635 0.823 0.160
0.725 0.221 0.434
0.725 0.279 0.934
0.812 0.199 0.243
0.812 0.301 0.743
0.818 0.669 0.072
0.818 0.831 0.572
0.848 0.013 0.871
0.848 0.487 0.371
0.948 0.625 0.826
0.948 0.875 0.326
```

Top 12 peaks for 5 to 70 degrees two-theta, in order of falling intensity:
2θ/deg	d_spacing	I_rel
10.00	8.849	1000
23.60	3.770	766
29.15	3.063	363
18.94	4.684	302
23.97	3.712	238
16.22	5.464	193
33.40	2.683	188
16.56	5.355	170
38.80	2.321	156
31.57	2.834	151
20.30	4.374	142
17.80	4.984	126